Mn5CrH5: simulated powder diffractogram (Cu Kα (λ = 1.5418 Å)), based on the GGA-PBE geometry in Alexandria.
Peak positions follow from Bragg's law for the DFT cell and can differ from measured ones.

Most intense lines, 5° ≤ 2θ ≤ 70°, by angle:
index	2θ (°)	I_rel
3 1 0	41.90	1000
4 0 -2	48.13	173
0 2 0	49.02	163
2 0 2	49.17	161

Atomic structure:
abc: 8.4309 3.7164 5.2871
angles: 90.00 109.42 90.00
Space group C2/m (No. 12)
Unique sites:
Mn (0.0000, 0.0000, 0.0000) (multiplicity 2)
Mn (0.1645, 0.5000, 0.3288) (multiplicity 4)
Mn (0.1651, 0.5000, 0.8395) (multiplicity 4)
Cr (0.0000, 0.0000, 0.5000) (multiplicity 2)
H (0.0000, 0.5000, 0.5000) (multiplicity 2)
H (0.1661, 0.0000, 0.3345) (multiplicity 4)
H (0.1665, 0.0000, 0.8313) (multiplicity 4)